Li4Mn3Sn2Sb3O16: computed XRD peak list (Cu Ka), based on DFT lattice parameters and positions (PBE+U).
Peak positions follow from Bragg's law for the DFT cell and can differ from measured ones.

Crystal structure
```
Li4Mn3Sn2Sb3O16
1.0
5.4547 -3.1318 0.0000
5.4547 3.1318 0.0000
-0.1413 0.0000 9.9590
Li Mn Sn Sb O
4 3 2 3 16
Direct
0.0000 0.0000 0.0000
0.0091 0.0091 0.5152
0.3389 0.3389 0.6076
0.6746 0.6746 0.0946
0.1688 0.1688 0.2857
0.3325 0.8209 0.7871
0.8209 0.3325 0.7871
0.3167 0.3167 0.0002
0.6570 0.6570 0.5171
0.1682 0.6619 0.2843
0.6619 0.1682 0.2843
0.8226 0.8226 0.7849
0.0400 0.4846 0.1646
0.1412 0.6645 0.9068
0.1532 0.1532 0.9113
0.3175 0.8387 0.3961
0.3368 0.3368 0.3922
0.4807 0.4807 0.1593
0.4846 0.0400 0.1646
0.5148 0.5148 0.6455
0.5295 0.9652 0.6537
0.6645 0.1412 0.9068
0.6752 0.6752 0.8974
0.8385 0.8385 0.3962
0.8387 0.3175 0.3961
0.9652 0.5295 0.6537
0.9811 0.9811 0.6947
0.9975 0.9975 0.1866
```

Peak list (6 most intense, 10° ≤ 2θ ≤ 80°, by intensity)
| 2theta | I_rel |
| --- | --- |
| 18.55 | 100 |
| 33.86 | 92 |
| 18.44 | 77 |
| 17.81 | 73 |
| 34.18 | 71 |
| 18.66 | 68 |